Pa2TeO11: calculated X-ray powder pattern (copper Kα), based on a crystal structure in Alexandria, relaxed with GGA-PBE.

The 8 most intense peaks (2θ = 10–80°), by angle:
d [Å], two_theta, I_rel
6.381, 13.88, 40.2
5.743, 15.43, 60.8
3.792, 23.46, 55.7
3.492, 25.51, 100.0
3.191, 27.96, 35.8
3.056, 29.22, 55.5
2.845, 31.45, 46.3
2.655, 33.75, 44.2

Cell and atoms:
```
Pa2TeO11
1.0
5.104 -5.743 0.000
5.104 5.743 0.000
-4.087 0.000 6.980
Pa Te O
4 2 22
direct
0.041 0.959 0.500
0.318 0.421 0.995
0.421 0.318 0.495
0.959 0.041 0.000
0.527 0.848 0.506
0.848 0.527 0.006
0.056 0.747 0.713
0.062 0.514 0.929
0.097 0.113 0.814
0.113 0.097 0.314
0.239 0.787 0.826
0.280 0.892 0.004
0.285 0.328 0.693
0.318 0.917 0.580
0.328 0.285 0.193
0.386 0.684 0.240
0.489 0.615 0.551
0.514 0.062 0.429
0.615 0.489 0.051
0.684 0.386 0.740
0.697 0.989 0.772
0.747 0.056 0.213
0.767 0.842 0.471
0.787 0.239 0.326
0.842 0.767 0.971
0.892 0.280 0.504
0.917 0.318 0.080
0.989 0.697 0.272
```